Structure and computed PXRD pattern of PrNdMg3 (a PBE-relaxed structure; a wavelength of 1.5418 Å).
No peak broadening, texture or thermal motion is included.

Cell and atoms:
Cell lengths 6.2864, 6.2864, 25.5669 Å; angles 90.00, 90.00, 120.00 degrees
Space group R-3m (No. 166, hexagonal axes)
Unique sites:
1 Pr 0.0000 0.0000 0.0678 [6 per cell]
2 Nd 0.0000 0.0000 0.3340 [6 per cell]
3 Mg 0.0081 0.5040 0.8798 [18 per cell]

Principal peaks in the range 2θ = 10–90°, by angle:
(hkl)  Position (°2θ)  I_rel
0 0 3  10.4  85
0 1 5  23.9  33
1 1 0  28.4  98
1 0 7  29.4  71
1 1 3  30.3  100
0 1 8  32.5  54
2 0 5  37.4  30
2 1 7  50.9  29